# 1
# MnZnPd14
Simulated powder X-ray diffraction pattern, a wavelength of 1.5418 Å. Input: a GGA-PBE-relaxed structure.
No peak broadening, texture or thermal motion is included.

Main lines, sorted by position (2θ from 10° to 80°):
2θ (°)  I (rel.)
38.5  33
39.0  20
39.6  48
42.3  100
42.8  39
67.7  19

Crystal structure
abc: 9.100 5.536 5.536
angles: 60.93 90.00 90.00
Sites, in units of the cell vectors:
Mn 0.000 0.000 0.000
Zn 0.000 0.501 0.501
Pd 0.000 0.004 0.503
Pd 0.000 0.503 0.004
Pd 0.242 0.328 0.827
Pd 0.242 0.827 0.328
Pd 0.248 0.329 0.329
Pd 0.248 0.829 0.829
Pd 0.500 0.158 0.158
Pd 0.500 0.158 0.658
Pd 0.500 0.658 0.158
Pd 0.500 0.658 0.658
Pd 0.752 0.329 0.329
Pd 0.752 0.829 0.829
Pd 0.758 0.328 0.827
Pd 0.758 0.827 0.328

=====

# 2
# CaAlZn11
Simulated powder X-ray diffraction pattern, a wavelength of 1.5418 Å. Input: a GGA-PBE-relaxed structure.
No peak broadening, texture or thermal motion is included.

Main lines, sorted by position (2θ from 10° to 80°):
2θ (°)  I (rel.)
39.3  86
40.3  100
40.6  75
44.5  83
45.3  66
45.6  53

Crystal structure
abc: 6.827 6.827 6.832
angles: 98.76 98.76 133.90
Sites, in units of the cell vectors:
Ca 0.000 0.000 0.000
Al 0.500 0.500 0.500
Zn 0.000 0.000 0.500
Zn 0.000 0.500 0.000
Zn 0.003 0.648 0.647
Zn 0.279 0.500 0.782
Zn 0.352 0.997 0.353
Zn 0.500 0.000 0.000
Zn 0.500 0.279 0.782
Zn 0.500 0.721 0.218
Zn 0.648 0.003 0.647
Zn 0.721 0.500 0.218
Zn 0.997 0.352 0.353

=====

# 3
# Pm2Ho3Tm9
Simulated powder X-ray diffraction pattern, a wavelength of 1.5418 Å. Input: a GGA-PBE-relaxed structure.
No peak broadening, texture or thermal motion is included.

Main lines, sorted by position (2θ from 10° to 80°):
2θ (°)  I (rel.)
31.6  44
31.7  100
32.2  34
32.4  56
33.3  51
34.9  44

Crystal structure
abc: 6.145 8.646 8.669
angles: 78.89 86.71 77.82
Sites, in units of the cell vectors:
Pm 0.042 0.295 0.029
Pm 0.958 0.705 0.971
Ho 0.242 0.728 0.618
Ho 0.500 0.000 0.000
Ho 0.758 0.272 0.382
Tm 0.012 0.084 0.745
Tm 0.153 0.507 0.335
Tm 0.315 0.104 0.381
Tm 0.410 0.306 0.684
Tm 0.500 0.500 0.000
Tm 0.590 0.694 0.316
Tm 0.685 0.896 0.619
Tm 0.847 0.493 0.665
Tm 0.988 0.916 0.255

=====

# 4
# TmLuAu
Simulated powder X-ray diffraction pattern, a wavelength of 1.5418 Å. Input: a GGA-PBE-relaxed structure.
No peak broadening, texture or thermal motion is included.

Main lines, sorted by position (2θ from 10° to 80°):
2θ (°)  I (rel.)
32.2  100
37.1  76
49.9  30
54.0  24
63.8  29
79.5  16

Crystal structure
abc: 4.845 4.845 3.711
angles: 90.00 90.00 120.00
Sites, in units of the cell vectors:
Tm 0.000 0.000 0.000
Lu 0.333 0.667 0.522
Au 0.667 0.333 0.275

=====

# 5
# Li3SmDy2Se6
Simulated powder X-ray diffraction pattern, a wavelength of 1.5418 Å. Input: a GGA-PBE-relaxed structure.
No peak broadening, texture or thermal motion is included.

Main lines, sorted by position (2θ from 10° to 80°):
2θ (°)  I (rel.)
13.6  49
25.5  38
31.2  100
44.2  38
45.1  36
55.1  20

Crystal structure
abc: 7.100 7.100 6.921
angles: 99.83 99.83 120.01
Sites, in units of the cell vectors:
Li 0.000 0.000 0.000
Li 0.333 0.667 0.000
Li 0.667 0.333 0.000
Sm 0.500 0.500 0.500
Dy 0.167 0.833 0.500
Dy 0.833 0.167 0.500
Se 0.077 0.415 0.246
Se 0.246 0.246 0.755
Se 0.415 0.077 0.246
Se 0.585 0.923 0.754
Se 0.754 0.754 0.245
Se 0.923 0.585 0.754

=====

# 6
# As5Se8
Simulated powder X-ray diffraction pattern, a wavelength of 1.5418 Å. Input: a GGA-PBE-relaxed structure.
No peak broadening, texture or thermal motion is included.

Main lines, sorted by position (2θ from 10° to 80°):
2θ (°)  I (rel.)
13.7  26
26.4  35
27.6  32
32.0  100
45.8  97
76.0  27

Crystal structure
abc: 7.919 7.919 7.919
angles: 60.00 60.00 60.00
Sites, in units of the cell vectors:
As 0.000 0.000 0.000
As 0.386 0.386 0.386
As 0.386 0.386 0.842
As 0.386 0.842 0.386
As 0.842 0.386 0.386
Se 0.128 0.128 0.128
Se 0.128 0.128 0.616
Se 0.128 0.616 0.128
Se 0.148 0.617 0.617
Se 0.616 0.128 0.128
Se 0.617 0.148 0.617
Se 0.617 0.617 0.148
Se 0.617 0.617 0.617

=====

- Which formula does entry 2 have?
  CaAlZn11

=====

Please write out number 6 again, unchanged.
# As5Se8
Simulated powder X-ray diffraction pattern, a wavelength of 1.5418 Å. Input: a GGA-PBE-relaxed structure.
No peak broadening, texture or thermal motion is included.

Main lines, sorted by position (2θ from 10° to 80°):
2θ (°)  I (rel.)
13.7  26
26.4  35
27.6  32
32.0  100
45.8  97
76.0  27

Crystal structure
abc: 7.919 7.919 7.919
angles: 60.00 60.00 60.00
Sites, in units of the cell vectors:
As 0.000 0.000 0.000
As 0.386 0.386 0.386
As 0.386 0.386 0.842
As 0.386 0.842 0.386
As 0.842 0.386 0.386
Se 0.128 0.128 0.128
Se 0.128 0.128 0.616
Se 0.128 0.616 0.128
Se 0.148 0.617 0.617
Se 0.616 0.128 0.128
Se 0.617 0.148 0.617
Se 0.617 0.617 0.148
Se 0.617 0.617 0.617